For CdIn6Br8, a crystal structure in Alexandria, relaxed with PBE gives the simulated powder XRD pattern in this record (Cu Kα (weighted mean of Kα1 and Kα2)).
No peak broadening, texture or thermal motion is included.

Most intense lines, 10 to 90 degrees two-theta, in order of falling intensity:
h k l	2θ/deg	I_rel
2 -1 6	33.58	100
3 0 0	31.03	81
3 -1 1	27.70	73
2 -1 3	22.70	61
2 1 4	33.31	51
1 2 2	28.90	48
2 2 3	38.79	46
1 2 5	36.30	45
0 0 3	14.02	44
0 0 6	28.25	39

Cell and atoms:
```
data_CdIn6Br8
_cell_length_a 9.9827
_cell_length_b 9.9827
_cell_length_c 18.9510
_cell_angle_alpha 90.00
_cell_angle_beta 90.00
_cell_angle_gamma 120.00
_space_group_name_H-M_alt 'R -3'
_space_group_IT_number 148
_space_group_name_Hall '-R 3'
loop_
_atom_site_label
_atom_site_fract_x
_atom_site_fract_y
_atom_site_fract_z
Cd1 0.0000 0.0000 0.0000
In1 0.0297 0.6338 0.9266
Br1 0.0000 0.0000 0.3251
Br2 0.9995 0.2337 0.9161
```

=====

For CdInBr3, a crystal structure in Alexandria, relaxed with PBE gives the simulated powder XRD pattern in this record (Cu Kα (weighted mean of Kα1 and Kα2)).
No peak broadening, texture or thermal motion is included.

Most intense lines, 10 to 90 degrees two-theta, in order of falling intensity:
h k l	2θ/deg	I_rel
2 0 0	32.45	100
2 2 0	46.54	71
1 1 1	28.00	53
1 1 0	22.79	48
4 2 0	77.32	31
2 2 2	57.88	24
4 2 2	86.36	24
3 1 1	55.20	23
2 1 1	40.02	22
1 0 0	16.06	16

Cell and atoms:
```
data_CdInBr3
_cell_length_a 5.519
_cell_length_b 5.519
_cell_length_c 5.519
_cell_angle_alpha 90.00
_cell_angle_beta 90.00
_cell_angle_gamma 90.00
_space_group_name_H-M_alt 'P m -3 m'
_space_group_IT_number 221
_space_group_name_Hall '-P 4 2 3'
loop_
_atom_site_label
_atom_site_fract_x
_atom_site_fract_y
_atom_site_fract_z
Cd1 0.000 0.000 0.000
In1 0.500 0.500 0.500
Br1 0.000 0.000 0.500
```

=====

For CdIn2Br8, a crystal structure in Alexandria, relaxed with PBE gives the simulated powder XRD pattern in this record (Cu Kα (weighted mean of Kα1 and Kα2)).
No peak broadening, texture or thermal motion is included.

Most intense lines, 10 to 90 degrees two-theta, in order of falling intensity:
h k l	2θ/deg	I_rel
4 2 -2	26.94	100
6 2 0	42.01	53
2 0 0	12.10	40
2 0 2	27.39	39
1 1 0	11.43	37
3 1 -1	17.11	35
4 2 -6	46.99	32
0 4 0	39.53	29
6 2 -4	36.09	27
3 1 -3	22.39	24

Cell and atoms:
```
data_CdIn2Br8
_cell_length_a 19.356
_cell_length_b 9.118
_cell_length_c 13.240
_cell_angle_alpha 90.00
_cell_angle_beta 130.89
_cell_angle_gamma 90.00
_space_group_name_H-M_alt 'C 1 2/c 1'
_space_group_IT_number 15
loop_
_space_group_symop_operation_xyz
'x,y,z'
'-x,-y,-z'
'-x,y,-z+1/2'
'x,-y,z+1/2'
'x+1/2,y+1/2,z'
'-x+1/2,-y+1/2,-z'
'-x+1/2,y+1/2,-z+1/2'
'x+1/2,-y+1/2,z+1/2'
loop_
_atom_site_label
_atom_site_fract_x
_atom_site_fract_y
_atom_site_fract_z
Cd1 0.000 0.001 0.250
In1 0.087 0.251 0.037
Br1 0.075 0.215 0.691
Br2 0.090 0.236 0.235
Br3 0.157 0.019 0.022
Br4 0.161 0.485 0.057
```

=====

For CdInBr3, a crystal structure in Alexandria, relaxed with PBE gives the simulated powder XRD pattern in this record (Cu Kα (weighted mean of Kα1 and Kα2)).
No peak broadening, texture or thermal motion is included.

Most intense lines, 10 to 90 degrees two-theta, in order of falling intensity:
h k l	2θ/deg	I_rel
1 0 -2	27.99	100
1 2 1	27.37	91
1 -2 0	28.02	85
0 4 1	41.45	58
0 2 0	21.19	57
1 2 -1	31.78	49
0 2 1	20.94	44
1 0 0	17.84	42
2 2 -1	45.08	39
1 -1 2	31.82	34

Cell and atoms:
```
data_CdInBr3
_cell_length_a 4.973
_cell_length_b 8.716
_cell_length_c 8.720
_cell_angle_alpha 74.17
_cell_angle_beta 89.04
_cell_angle_gamma 89.01
_space_group_name_H-M_alt 'P 1'
_space_group_IT_number 1
loop_
_space_group_symop_operation_xyz
'x,y,z'
loop_
_atom_site_label
_atom_site_fract_x
_atom_site_fract_y
_atom_site_fract_z
Cd1 0.000 0.000 0.000
Cd2 0.001 0.633 0.366
In1 0.171 0.103 0.470
In2 0.828 0.530 0.897
Br1 0.255 0.709 0.075
Br2 0.262 0.252 0.009
Br3 0.262 0.641 0.618
Br4 0.737 0.381 0.358
Br5 0.737 0.992 0.748
Br6 0.745 0.923 0.291
```

=====

For KCdIn2Br5, a crystal structure in Alexandria, relaxed with PBE gives the simulated powder XRD pattern in this record (Cu Kα (weighted mean of Kα1 and Kα2)).
No peak broadening, texture or thermal motion is included.

Most intense lines, 10 to 90 degrees two-theta, in order of falling intensity:
h k l	2θ/deg	I_rel
1 1 5	33.79	100
0 0 2	10.37	77
1 1 3	26.30	71
1 1 2	23.52	50
0 6 2	30.66	45
1 5 3	35.50	43
2 0 0	41.70	40
0 2 2	14.08	37
1 5 1	32.13	34
0 2 3	18.28	33

Cell and atoms:
```
data_KCdIn2Br5
_cell_length_a 4.332
_cell_length_b 18.615
_cell_length_c 17.059
_cell_angle_alpha 90.00
_cell_angle_beta 90.00
_cell_angle_gamma 90.00
_space_group_name_H-M_alt 'C m c 21'
_space_group_IT_number 36
loop_
_space_group_symop_operation_xyz
'x,y,z'
'-x,-y,z+1/2'
'-x,y,z'
'x,-y,z+1/2'
'x+1/2,y+1/2,z'
'-x+1/2,-y+1/2,z+1/2'
'-x+1/2,y+1/2,z'
'x+1/2,-y+1/2,z+1/2'
loop_
_atom_site_label
_atom_site_fract_x
_atom_site_fract_y
_atom_site_fract_z
K1 0.000 0.049 0.000
Cd1 0.000 0.259 0.593
In1 0.000 0.355 0.815
In2 0.000 0.428 0.213
Br1 0.000 0.023 0.330
Br2 0.000 0.111 0.582
Br3 0.000 0.226 0.986
Br4 0.000 0.254 0.210
Br5 0.000 0.406 0.630
```

=====

For KCdInBrO, a crystal structure in Alexandria, relaxed with PBE gives the simulated powder XRD pattern in this record (Cu Kα (weighted mean of Kα1 and Kα2)).
No peak broadening, texture or thermal motion is included.

Most intense lines, 10 to 90 degrees two-theta, in order of falling intensity:
h k l	2θ/deg	I_rel
0 1 2	29.84	100
1 0 2	34.43	48
0 1 -2	30.63	36
1 1 3	40.54	25
1 2 1	44.80	20
1 0 -4	48.40	19
1 0 0	28.12	16
1 -1 0	43.88	15
0 0 4	38.88	12
2 0 -2	61.57	12

Cell and atoms:
```
data_KCdInBrO
_cell_length_a 3.485
_cell_length_b 4.216
_cell_length_c 9.268
_cell_angle_alpha 88.59
_cell_angle_beta 89.88
_cell_angle_gamma 65.66
_space_group_name_H-M_alt 'P 1'
_space_group_IT_number 1
loop_
_space_group_symop_operation_xyz
'x,y,z'
loop_
_atom_site_label
_atom_site_fract_x
_atom_site_fract_y
_atom_site_fract_z
K1 0.000 0.000 0.000
Cd1 0.023 0.924 0.477
In1 0.762 0.474 0.686
Br1 0.311 0.377 0.261
O1 0.286 0.425 0.829
```

=====

For LiCdIn2Br4, a crystal structure in Alexandria, relaxed with PBE gives the simulated powder XRD pattern in this record (Cu Kα (weighted mean of Kα1 and Kα2)).
No peak broadening, texture or thermal motion is included.

Most intense lines, 10 to 90 degrees two-theta, in order of falling intensity:
h k l	2θ/deg	I_rel
2 0 0	32.71	100
-1 1 2	32.13	91
1 0 -2	26.08	83
2 1 -2	34.62	79
0 2 -1	27.38	76
0 2 -2	34.11	71
0 1 1	24.85	68
-2 1 1	26.90	66
0 1 0	14.36	61
1 0 -1	15.02	61

Cell and atoms:
```
data_LiCdIn2Br4
_cell_length_a 6.837
_cell_length_b 6.901
_cell_length_c 6.951
_cell_angle_alpha 100.32
_cell_angle_beta 118.12
_cell_angle_gamma 106.19
_space_group_name_H-M_alt 'P 1'
_space_group_IT_number 1
loop_
_space_group_symop_operation_xyz
'x,y,z'
loop_
_atom_site_label
_atom_site_fract_x
_atom_site_fract_y
_atom_site_fract_z
Li1 0.000 0.000 0.000
Cd1 0.464 0.349 0.815
In1 0.490 0.682 0.174
In2 0.949 0.433 0.483
Br1 0.399 0.291 0.373
Br2 0.631 0.039 0.981
Br3 0.962 0.017 0.617
Br4 0.996 0.635 0.029
```

=====

For RbCdIn2Br5, a crystal structure in Alexandria, relaxed with PBE gives the simulated powder XRD pattern in this record (Cu Kα (weighted mean of Kα1 and Kα2)).
No peak broadening, texture or thermal motion is included.

Most intense lines, 10 to 90 degrees two-theta, in order of falling intensity:
h k l	2θ/deg	I_rel
2 1 3	28.04	100
2 0 4	29.88	25
3 1 0	32.31	24
2 2 0	28.82	22
4 1 3	45.82	21
3 1 6	46.73	19
2 0 2	23.03	14
5 2 3	59.26	14
2 0 6	38.90	14
4 2 0	46.34	14

Cell and atoms:
```
data_RbCdIn2Br5
_cell_length_a 8.763
_cell_length_b 8.763
_cell_length_c 16.364
_cell_angle_alpha 90.00
_cell_angle_beta 90.00
_cell_angle_gamma 90.00
_space_group_name_H-M_alt 'I 4/m c m'
_space_group_IT_number 140
_space_group_name_Hall '-I 4 2c'
loop_
_atom_site_label
_atom_site_fract_x
_atom_site_fract_y
_atom_site_fract_z
Rb1 0.000 0.000 0.250
Cd1 0.000 0.500 0.250
In1 0.159 0.341 0.000
Br1 0.000 0.000 0.000
Br2 0.164 0.336 0.352
```

=====

For Tl2CdInBr6, a crystal structure in Alexandria, relaxed with PBE gives the simulated powder XRD pattern in this record (Cu Kα (weighted mean of Kα1 and Kα2)).
No peak broadening, texture or thermal motion is included.

Most intense lines, 10 to 90 degrees two-theta, in order of falling intensity:
h k l	2θ/deg	I_rel
0 2 4	32.02	100
1 0 4	22.32	67
1 1 0	22.66	54
2 0 2	27.78	47
2 -1 6	35.70	45
3 -1 4	39.59	39
3 0 0	39.79	34
1 1 3	26.48	29
2 2 0	46.28	28
0 1 2	15.85	21

Cell and atoms:
```
data_Tl2CdInBr6
_cell_length_a 7.8469
_cell_length_b 7.8469
_cell_length_c 19.6634
_cell_angle_alpha 90.00
_cell_angle_beta 90.00
_cell_angle_gamma 120.00
_space_group_name_H-M_alt 'R 3'
_space_group_IT_number 146
_space_group_name_Hall 'R 3'
loop_
_atom_site_label
_atom_site_fract_x
_atom_site_fract_y
_atom_site_fract_z
Tl1 0.0000 0.0000 0.0000
Tl2 0.0000 0.0000 0.4996
Cd1 0.0000 0.0000 0.7179
In1 0.0000 0.0000 0.2177
Br1 0.0980 0.3378 0.7942
Br2 0.1017 0.7600 0.2961
```

=====

For K3CdBr6, a crystal structure in Alexandria, relaxed with PBE gives the simulated powder XRD pattern in this record (Cu Kα (weighted mean of Kα1 and Kα2)).
No peak broadening, texture or thermal motion is included.

Most intense lines, 10 to 90 degrees two-theta, in order of falling intensity:
h k l	2θ/deg	I_rel
0 4 2	34.74	100
0 4 0	19.46	87
3 5 0	30.97	87
1 3 0	15.85	68
2 2 1	21.31	61
6 0 0	38.30	59
3 3 1	27.87	51
0 4 1	24.13	47
1 1 1	16.22	42
0 0 2	28.50	30

Cell and atoms:
```
data_K3CdBr6
_cell_length_a 14.108
_cell_length_b 18.292
_cell_length_c 6.264
_cell_angle_alpha 90.00
_cell_angle_beta 90.00
_cell_angle_gamma 90.00
_space_group_name_H-M_alt 'C m c 21'
_space_group_IT_number 36
loop_
_space_group_symop_operation_xyz
'x,y,z'
'-x,-y,z+1/2'
'-x,y,z'
'x,-y,z+1/2'
'x+1/2,y+1/2,z'
'-x+1/2,-y+1/2,z+1/2'
'-x+1/2,y+1/2,z'
'x+1/2,-y+1/2,z+1/2'
loop_
_atom_site_label
_atom_site_fract_x
_atom_site_fract_y
_atom_site_fract_z
K1 0.000 0.117 0.000
K2 0.183 0.382 0.981
Cd1 0.000 0.293 0.392
Br1 0.000 0.287 0.808
Br2 0.000 0.432 0.288
Br3 0.155 0.225 0.265
Br4 0.162 0.003 0.738
```

=====

For K2CdBr4, a crystal structure in Alexandria, relaxed with PBE gives the simulated powder XRD pattern in this record (Cu Kα (weighted mean of Kα1 and Kα2)).
No peak broadening, texture or thermal motion is included.

Most intense lines, 10 to 90 degrees two-theta, in order of falling intensity:
h k l	2θ/deg	I_rel
3 1 0	29.78	100
3 1 -1	27.85	43
0 0 1	11.60	42
2 0 0	14.15	40
2 0 -3	30.77	38
0 2 0	41.87	25
5 1 -3	41.73	22
0 0 3	35.31	21
1 1 3	44.93	20
3 1 -3	37.42	20

Cell and atoms:
```
data_K2CdBr4
_cell_length_a 14.378
_cell_length_b 4.315
_cell_length_c 8.759
_cell_angle_alpha 90.00
_cell_angle_beta 119.46
_cell_angle_gamma 90.00
_space_group_name_H-M_alt 'C 1 2/m 1'
_space_group_IT_number 12
loop_
_space_group_symop_operation_xyz
'x,y,z'
'-x,-y,-z'
'-x,y,-z'
'x,-y,z'
'x+1/2,y+1/2,z'
'-x+1/2,-y+1/2,-z'
'-x+1/2,y+1/2,-z'
'x+1/2,-y+1/2,z'
loop_
_atom_site_label
_atom_site_fract_x
_atom_site_fract_y
_atom_site_fract_z
K1 0.151 0.000 0.186
Cd1 0.000 0.500 0.500
Br1 0.046 0.500 0.839
Br2 0.153 0.000 0.576
```

=====

For K2Cd2Br7, a crystal structure in Alexandria, relaxed with PBE gives the simulated powder XRD pattern in this record (Cu Kα (weighted mean of Kα1 and Kα2)).
No peak broadening, texture or thermal motion is included.

Most intense lines, 10 to 90 degrees two-theta, in order of falling intensity:
h k l	2θ/deg	I_rel
2 0 0	15.93	100
1 3 -1	26.59	87
4 2 -1	36.74	58
0 2 1	19.88	58
2 2 2	36.36	43
1 1 1	17.94	41
2 0 -1	19.69	39
2 0 -2	29.89	38
1 1 2	30.04	37
0 4 0	29.41	35

Cell and atoms:
```
data_K2Cd2Br7
_cell_length_a 11.199
_cell_length_b 12.149
_cell_length_c 6.634
_cell_angle_alpha 90.00
_cell_angle_beta 96.45
_cell_angle_gamma 90.00
_space_group_name_H-M_alt 'C 1 2/m 1'
_space_group_IT_number 12
loop_
_space_group_symop_operation_xyz
'x,y,z'
'-x,-y,-z'
'-x,y,-z'
'x,-y,z'
'x+1/2,y+1/2,z'
'-x+1/2,-y+1/2,-z'
'-x+1/2,y+1/2,-z'
'x+1/2,-y+1/2,z'
loop_
_atom_site_label
_atom_site_fract_x
_atom_site_fract_y
_atom_site_fract_z
K1 0.000 0.231 0.000
Cd1 0.239 0.500 0.463
Br1 0.000 0.500 0.500
Br2 0.143 0.000 0.178
Br3 0.237 0.185 0.734
```

=====

For K4CdBr6, a crystal structure in Alexandria, relaxed with PBE gives the simulated powder XRD pattern in this record (Cu Kα (weighted mean of Kα1 and Kα2)).
No peak broadening, texture or thermal motion is included.

Most intense lines, 10 to 90 degrees two-theta, in order of falling intensity:
h k l	2θ/deg	I_rel
2 1 4	30.88	100
0 1 2	13.68	83
2 2 3	32.43	78
1 3 1	29.27	47
3 2 4	41.86	29
4 1 0	36.73	28
5 1 1	45.39	26
3 5 4	62.54	23
1 5 5	53.93	21
3 0 12	76.42	19

Cell and atoms:
```
data_K4CdBr6
_cell_length_a 12.9424
_cell_length_b 12.9424
_cell_length_c 15.8763
_cell_angle_alpha 90.00
_cell_angle_beta 90.00
_cell_angle_gamma 120.00
_space_group_name_H-M_alt 'R -3 c'
_space_group_IT_number 167
_space_group_name_Hall '-R 3 2"c'
loop_
_atom_site_label
_atom_site_fract_x
_atom_site_fract_y
_atom_site_fract_z
K1 0.0000 0.0000 0.2500
K2 0.0000 0.3835 0.2500
Cd1 0.0000 0.0000 0.0000
Br1 0.0367 0.1940 0.3971
```